Pu2H5Ru2: simulated PXRD pattern (Cu Kα (λ = 1.5418 Å)), based on a cell relaxed with PBE.

Atomic structure:
```
Pu2H5Ru2
1.0
7.8477 -2.5244 0.0000
7.8477 2.5244 0.0000
-1.6265 0.0000 4.7976
Pu H Ru
4 10 4
Direct
0.1314 0.1314 0.1252
0.3687 0.3687 0.3620
0.6313 0.6313 0.6380
0.8686 0.8686 0.8748
0.0000 0.5000 0.0000
0.1238 0.1238 0.6084
0.2502 0.7501 0.2502
0.2499 0.7498 0.7498
0.3762 0.3762 0.8607
0.5000 0.0000 0.0000
0.6238 0.6238 0.1393
0.7501 0.2502 0.2502
0.7498 0.2499 0.7498
0.8762 0.8762 0.3916
0.0000 0.0000 0.5000
0.2500 0.2500 0.7101
0.5000 0.5000 0.0000
0.7500 0.7500 0.2899
```

Largest 8 diffraction maxima, in order of falling intensity, 10° ≤ 2θ ≤ 80°:
2theta  intensity
34.82  100
35.56  24
35.44  24
24.90  17
51.08  17
63.23  17
62.01  14
49.03  9